Entry 1:
Computed powder XRD pattern of Ca7Zn2Ag2 for a wavelength of 1.5418 Å, from the GGA-PBE geometry in Alexandria.

Peak list (6 most intense, 2θ = 15–90°, sorted by position)
2θ (°)	I/Imax
19.20	83
25.13	80
30.79	54
34.86	71
36.01	100
42.84	37

Cell lengths 7.0524, 7.0524, 7.6339 Å; angles 90.00, 90.00, 110.86 degrees
Positions (direct):
Ca (0.0000, 0.0000, 0.0000)
Ca (0.0000, 0.5000, 0.2793)
Ca (0.0000, 0.5000, 0.7207)
Ca (0.5000, 0.0000, 0.2793)
Ca (0.5000, 0.0000, 0.7207)
Ca (0.5000, 0.5000, 0.2623)
Ca (0.5000, 0.5000, 0.7377)
Zn (0.1633, 0.1633, 0.5000)
Zn (0.8367, 0.8367, 0.5000)
Ag (0.2941, 0.7059, 0.0000)
Ag (0.7059, 0.2941, 0.0000)

---

Entry 2:
Computed powder XRD pattern of Pa2P2N for a wavelength of 1.5418 Å, from the GGA-PBE geometry in Alexandria.

Peak list (6 most intense, 2θ = 15–90°, sorted by position)
2θ (°)	I/Imax
25.41	42
26.39	59
27.77	93
28.70	95
29.59	100
44.78	64

Cell lengths 8.1274, 7.0092, 6.7804 Å; angles 90.00, 95.04, 90.00 degrees
Positions (direct):
Pa (0.0963, 0.1116, 0.2979)
Pa (0.0963, 0.3884, 0.7979)
Pa (0.3584, 0.5600, 0.2467)
Pa (0.3584, 0.9400, 0.7467)
Pa (0.6416, 0.0600, 0.2533)
Pa (0.6416, 0.4400, 0.7533)
Pa (0.9037, 0.6116, 0.2021)
Pa (0.9037, 0.8884, 0.7021)
P (0.1581, 0.6779, 0.5278)
P (0.1581, 0.8221, 0.0278)
P (0.4139, 0.2447, 0.4836)
P (0.4139, 0.2553, 0.9836)
P (0.5861, 0.7447, 0.0164)
P (0.5861, 0.7553, 0.5164)
P (0.8419, 0.1779, 0.9722)
P (0.8419, 0.3221, 0.4722)
N (0.1149, 0.0889, 0.6534)
N (0.1149, 0.4111, 0.1534)
N (0.8851, 0.5889, 0.8466)
N (0.8851, 0.9111, 0.3466)

---

Entry 3:
Computed powder XRD pattern of SmPdBr6 for a wavelength of 1.5418 Å, from the GGA-PBE geometry in Alexandria.

Peak list (6 most intense, 2θ = 15–90°, sorted by position)
2θ (°)	I/Imax
17.22	50
18.10	100
28.50	35
29.91	95
29.98	42
39.83	57

Cell lengths 6.6911, 6.7551, 7.2476 Å; angles 62.26, 65.47, 63.16 degrees
Positions (direct):
Sm (0.0000, 0.0000, 0.0000)
Pd (0.5000, 0.5000, 0.5000)
Br (0.0980, 0.7357, 0.7459)
Br (0.2774, 0.5608, 0.2590)
Br (0.4316, 0.1080, 0.7342)
Br (0.5684, 0.8920, 0.2658)
Br (0.7226, 0.4392, 0.7410)
Br (0.9020, 0.2643, 0.2541)